Diffraction record for KLaMnWO6. The XRD peak list is simulated, not measured: it uses a cell relaxed with PBE+U and Cu Ka.
Intensities are scaled so that the largest is 100.

The 6 most intense peaks (10° ≤ 2θ ≤ 80°), low angle first:
2θ (°), intensity
18.9, 40
31.1, 100
36.6, 22
44.5, 32
55.3, 39
64.8, 19

Unit cell a=5.7556 b=5.7556 c=5.7556 alpha=60.00 beta=60.00 gamma=60.00
Fractional coordinates of all 10 atoms:
K 0.0000 0.0000 0.0000
La 0.5000 0.5000 0.5000
Mn 0.7500 0.7500 0.7500
W 0.2500 0.2500 0.2500
O 0.0115 0.0115 0.4885
O 0.0115 0.4885 0.0115
O 0.0115 0.4885 0.4885
O 0.4885 0.0115 0.0115
O 0.4885 0.0115 0.4885
O 0.4885 0.4885 0.0115